For Dy3TmRh8, a cell relaxed with GGA-PBE gives the simulated XRD peak list in this record (Cu Kα (λ = 1.5418 Å)).
No peak broadening, texture or thermal motion is included.

Main lines, low angle first (15° ≤ 2θ ≤ 90°):
| d/Å | Rel. int. |
| --- | --- |
| 2.664 | 42 |
| 2.272 | 100 |
| 2.175 | 27 |
| 1.538 | 16 |
| 1.450 | 32 |
| 1.332 | 26 |

Crystal structure
a b c (Å): 9.2239 9.2239 9.2239
angles (deg): 33.58 33.58 33.58
Positions (direct):
Dy: 0.0000 0.0000 0.0000
Dy: 0.1254 0.1254 0.1254
Dy: 0.6249 0.6249 0.6249
Tm: 0.4997 0.4997 0.4997
Rh: 0.0623 0.0623 0.5621
Rh: 0.0623 0.5621 0.0623
Rh: 0.0631 0.5627 0.5627
Rh: 0.3125 0.3125 0.3125
Rh: 0.5621 0.0623 0.0623
Rh: 0.5627 0.0631 0.5627
Rh: 0.5627 0.5627 0.0631
Rh: 0.8125 0.8125 0.8125

For AcAg4Ge2, a cell relaxed with GGA-PBE gives the simulated XRD peak list in this record (Cu Kα (λ = 1.5418 Å)).
No peak broadening, texture or thermal motion is included.

Main lines, low angle first (15° ≤ 2θ ≤ 90°):
| d/Å | Rel. int. |
| --- | --- |
| 2.847 | 14 |
| 2.667 | 100 |
| 2.256 | 26 |
| 2.241 | 26 |
| 2.157 | 14 |
| 1.590 | 17 |

Crystal structure
a b c (Å): 4.4824 14.6822 4.5122
angles (deg): 90.00 90.00 90.00
Positions (direct):
Ac: 0.0000 0.0000 0.0000
Ac: 0.5000 0.5000 0.0000
Ag: 0.0000 0.1851 0.5000
Ag: 0.0000 0.3145 0.0000
Ag: 0.0000 0.6855 0.0000
Ag: 0.0000 0.8149 0.5000
Ag: 0.5000 0.1855 0.0000
Ag: 0.5000 0.3149 0.5000
Ag: 0.5000 0.6851 0.5000
Ag: 0.5000 0.8145 0.0000
Ge: 0.0000 0.4128 0.5000
Ge: 0.0000 0.5872 0.5000
Ge: 0.5000 0.0872 0.5000
Ge: 0.5000 0.9128 0.5000

For Tb2SnO, a cell relaxed with GGA-PBE gives the simulated XRD peak list in this record (Cu Kα (λ = 1.5418 Å)).
No peak broadening, texture or thermal motion is included.

Main lines, low angle first (15° ≤ 2θ ≤ 90°):
| d/Å | Rel. int. |
| --- | --- |
| 3.007 | 95 |
| 2.949 | 58 |
| 2.591 | 100 |
| 2.261 | 66 |
| 1.794 | 55 |
| 1.361 | 28 |

Crystal structure
a b c (Å): 4.5221 4.5221 8.8467
angles (deg): 90.00 90.00 90.00
Positions (direct):
Tb: 0.2500 0.2500 0.1662
Tb: 0.2500 0.7500 0.5000
Tb: 0.7500 0.2500 0.5000
Tb: 0.7500 0.7500 0.8338
Sn: 0.2500 0.2500 0.7995
Sn: 0.7500 0.7500 0.2005
O: 0.2500 0.2500 0.4256
O: 0.7500 0.7500 0.5744

For NaAgSbI5, a cell relaxed with GGA-PBE gives the simulated XRD peak list in this record (Cu Kα (λ = 1.5418 Å)).
No peak broadening, texture or thermal motion is included.

Main lines, low angle first (15° ≤ 2θ ≤ 90°):
| d/Å | Rel. int. |
| --- | --- |
| 4.950 | 71 |
| 4.285 | 100 |
| 3.820 | 85 |
| 3.214 | 79 |
| 2.989 | 62 |
| 2.733 | 87 |

Crystal structure
a b c (Å): 7.9371 7.9371 12.1317
angles (deg): 96.17 96.17 101.48
Positions (direct):
Na: 0.0000 0.5000 0.0000
Na: 0.5000 0.0000 0.5000
Ag: 0.0661 0.9339 0.7500
Ag: 0.9339 0.0661 0.2500
Sb: 0.3742 0.6258 0.7500
Sb: 0.6258 0.3742 0.2500
I: 0.0966 0.3108 0.7785
I: 0.1653 0.7511 0.5583
I: 0.2489 0.8347 0.9417
I: 0.3108 0.0966 0.2785
I: 0.3934 0.6066 0.2500
I: 0.6066 0.3934 0.7500
I: 0.6892 0.9034 0.7215
I: 0.7511 0.1653 0.0583
I: 0.8347 0.2489 0.4417
I: 0.9034 0.6892 0.2215

For Mg12Cd5Ag2, a cell relaxed with GGA-PBE gives the simulated XRD peak list in this record (Cu Kα (λ = 1.5418 Å)).
No peak broadening, texture or thermal motion is included.

Main lines, low angle first (15° ≤ 2θ ≤ 90°):
| d/Å | Rel. int. |
| --- | --- |
| 4.177 | 48 |
| 2.476 | 100 |
| 2.462 | 97 |
| 2.358 | 45 |
| 2.343 | 43 |
| 1.662 | 29 |

Crystal structure
a b c (Å): 10.5887 10.5887 4.7165
angles (deg): 102.45 102.45 52.53
Positions (direct):
Mg: 0.0463 0.5586 0.8017
Mg: 0.0826 0.0826 0.0851
Mg: 0.1471 0.6790 0.4142
Mg: 0.3210 0.8529 0.5858
Mg: 0.4063 0.4063 0.9080
Mg: 0.4414 0.9537 0.1983
Mg: 0.5586 0.0463 0.8017
Mg: 0.5937 0.5937 0.0920
Mg: 0.6790 0.1471 0.4142
Mg: 0.8529 0.3210 0.5858
Mg: 0.9174 0.9174 0.9149
Mg: 0.9537 0.4414 0.1983
Cd: 0.1965 0.1965 0.6997
Cd: 0.3063 0.3063 0.3093
Cd: 0.5000 0.5000 0.5000
Cd: 0.6937 0.6937 0.6907
Cd: 0.8035 0.8035 0.3003
Ag: 0.2542 0.7458 0.0000
Ag: 0.7458 0.2542 0.0000

For Pm4Dy8Ho, a cell relaxed with GGA-PBE gives the simulated XRD peak list in this record (Cu Kα (λ = 1.5418 Å)).
No peak broadening, texture or thermal motion is included.

Main lines, low angle first (15° ≤ 2θ ≤ 90°):
| d/Å | Rel. int. |
| --- | --- |
| 4.497 | 10 |
| 2.754 | 100 |
| 1.947 | 18 |
| 1.591 | 28 |
| 1.588 | 9 |
| 1.232 | 15 |

Crystal structure
a b c (Å): 7.7891 7.7891 7.7891
angles (deg): 90.09 90.09 90.09
Positions (direct):
Pm: 0.0000 0.0000 0.0000
Pm: 0.0000 0.5000 0.5000
Pm: 0.5000 0.0000 0.5000
Pm: 0.5000 0.5000 0.0000
Dy: 0.2400 0.2400 0.2400
Dy: 0.2396 0.2396 0.7592
Dy: 0.2396 0.7592 0.2396
Dy: 0.2408 0.7604 0.7604
Dy: 0.7592 0.2396 0.2396
Dy: 0.7604 0.2408 0.7604
Dy: 0.7604 0.7604 0.2408
Dy: 0.7600 0.7600 0.7600
Ho: 0.5000 0.5000 0.5000

For Hf4C3, a cell relaxed with GGA-PBE gives the simulated XRD peak list in this record (Cu Kα (λ = 1.5418 Å)).
No peak broadening, texture or thermal motion is included.

Main lines, low angle first (15° ≤ 2θ ≤ 90°):
| d/Å | Rel. int. |
| --- | --- |
| 2.847 | 20 |
| 2.687 | 37 |
| 2.516 | 100 |
| 2.499 | 26 |
| 2.489 | 24 |
| 1.632 | 19 |

Crystal structure
a b c (Å): 12.1101 3.3001 5.6319
angles (deg): 90.00 117.45 90.00
Positions (direct):
Hf: 0.1273 0.0000 0.4683
Hf: 0.1308 0.5000 0.9597
Hf: 0.3692 0.0000 0.0403
Hf: 0.3727 0.5000 0.5317
Hf: 0.6273 0.5000 0.4683
Hf: 0.6308 0.0000 0.9597
Hf: 0.8692 0.5000 0.0403
Hf: 0.8727 0.0000 0.5317
C: 0.0000 0.5000 0.5000
C: 0.2412 0.0000 0.2366
C: 0.2588 0.5000 0.7634
C: 0.5000 0.0000 0.5000
C: 0.7412 0.5000 0.2366
C: 0.7588 0.0000 0.7634

For Pu2ZrAg6, a cell relaxed with GGA-PBE gives the simulated XRD peak list in this record (Cu Kα (λ = 1.5418 Å)).
No peak broadening, texture or thermal motion is included.

Main lines, low angle first (15° ≤ 2θ ≤ 90°):
| d/Å | Rel. int. |
| --- | --- |
| 2.473 | 100 |
| 2.417 | 99 |
| 1.728 | 36 |
| 1.428 | 17 |
| 1.417 | 37 |
| 1.259 | 23 |

Crystal structure
a b c (Å): 8.5663 8.5663 2.9271
angles (deg): 90.00 90.00 120.00
Positions (direct):
Pu: 0.3333 0.6667 0.0000
Pu: 0.6667 0.3333 0.0000
Zr: 0.0000 0.0000 0.0000
Ag: 0.0000 0.3283 0.5000
Ag: 0.0000 0.6717 0.5000
Ag: 0.3283 0.0000 0.5000
Ag: 0.3283 0.3283 0.5000
Ag: 0.6717 0.0000 0.5000
Ag: 0.6717 0.6717 0.5000

Number 6 is which compound?
Pm4Dy8Ho

Which formula does entry 2 have?
AcAg4Ge2